Structure and calculated powder XRD pattern of UMnTlTe4 (DFT lattice parameters and positions (PBE); λ = 1.5418 Å (Cu Kα)).
Neutral-atom scattering factors, no anomalous dispersion.

Structure:
```
UMnTlTe4
1.0
6.743 0.000 0.000
0.000 6.283 0.000
-3.121 0.000 9.649
U Mn Tl Te
2 2 2 8
Direct
0.183 0.250 0.420
0.817 0.750 0.580
0.141 0.750 0.627
0.859 0.250 0.373
0.296 0.250 0.979
0.704 0.750 0.021
0.070 0.750 0.358
0.114 0.750 0.883
0.485 0.002 0.687
0.485 0.498 0.687
0.515 0.502 0.313
0.515 0.998 0.313
0.886 0.250 0.117
0.930 0.250 0.642
```

Top 10 peaks for 15 to 90 degrees two-theta, most intense first:
2θ (°)  d [Å]  I_rel
28.3  3.156  100
31.7  2.821  98
34.6  2.593  60
30.0  2.982  52
34.1  2.632  51
27.7  3.216  45
26.3  3.387  44
28.4  3.141  42
19.8  4.489  40
35.5  2.529  39